CaRuWO6: calculated XRD peak list (λ = 1.5418 Å (Cu Kα)), based on a DFT-relaxed cell (GGA+U, Alexandria).

Peak list (8 most intense, 2θ = 15–90°, sorted by position)
(0 0 2), d 4.756, 2θ = 18.66°, intensity 19
(1 0 1), d 4.333, 2θ = 20.50°, intensity 47
(1 1 0), d 3.442, 2θ = 25.89°, intensity 100
(1 0 3), d 2.657, 2θ = 33.74°, intensity 77
(2 0 0), d 2.434, 2θ = 36.94°, intensity 21
(2 1 3), d 1.794, 2θ = 50.89°, intensity 64
(2 2 0), d 1.721, 2θ = 53.23°, intensity 17
(3 0 3), d 1.444, 2θ = 64.52°, intensity 19

Crystal structure
a = 4.867 Å, b = 4.867 Å, c = 9.512 Å
α = 90.00°, β = 90.00°, γ = 90.00°
Fractional coordinates of all 18 atoms:
1 Ca 0.000 0.000 0.000
2 Ca 0.500 0.500 0.500
3 Ru 0.000 0.000 0.327
4 Ru 0.500 0.500 0.827
5 W 0.000 0.000 0.666
6 W 0.500 0.500 0.166
7 O 0.172 0.172 0.499
8 O 0.210 0.210 0.803
9 O 0.217 0.217 0.183
10 O 0.283 0.717 0.683
11 O 0.290 0.710 0.303
12 O 0.328 0.672 0.999
13 O 0.672 0.328 0.999
14 O 0.710 0.290 0.303
15 O 0.717 0.283 0.683
16 O 0.783 0.783 0.183
17 O 0.790 0.790 0.803
18 O 0.828 0.828 0.499